(1)
MoPd8Pt2: theoretical X-ray powder pattern (CuKα), based on a structure optimized by DFT (GGA-PBE).
Intensities are scaled so that the largest is 100.

Top 8 peaks for 2θ from 10° to 90°, by intensity:
hkl 2 1 0, 39.6°, rel. 100
hkl 1 2 2, 45.8°, rel. 17
hkl 1 1 -3, 46.0°, rel. 16
hkl 2 -1 1, 46.3°, rel. 16
hkl 2 2 5, 80.4°, rel. 12
hkl 4 0 1, 81.2°, rel. 12
hkl 3 1 3, 67.1°, rel. 10
hkl 0 1 5, 66.9°, rel. 10

Crystal structure
Lattice parameters (Å, degrees): 4.8187 4.8418 7.3905 89.62 83.74 80.04
Space group P-1 (No. 2)
Unique sites:
Mo 0.0000 0.0000 0.0000 x1
Pd 0.0864 0.8158 0.6415 x2
Pd 0.2673 0.4529 0.9105 x2
Pd 0.3643 0.2733 0.5455 x2
Pd 0.4579 0.0941 0.1779 x2
Pt 0.1796 0.6491 0.2668 x2


(2)
MoPd7Pt3: theoretical X-ray powder pattern (CuKα), based on a structure optimized by DFT (GGA-PBE).
Intensities are scaled so that the largest is 100.

Top 8 peaks for 2θ from 10° to 90°, by intensity:
hkl 2 0 1, 39.9°, rel. 100
hkl 0 2 2, 46.5°, rel. 65
hkl 0 0 3, 40.1°, rel. 32
hkl 2 2 3, 81.8°, rel. 24
hkl 2 2 0, 67.7°, rel. 21
hkl 2 0 4, 68.0°, rel. 20
hkl 0 1 1, 22.8°, rel. 16
hkl 0 4 1, 81.6°, rel. 12

Crystal structure
Lattice parameters (Å, degrees): 5.5342 5.5342 6.7389 90.00 90.00 120.00
Space group P3m1 (No. 156)
Unique sites:
Mo 0.0000 0.0000 0.0000 x1
Pd 0.3324 0.1662 0.3394 x3
Pd 0.3333 0.6667 0.3442 x1
Pd 0.5019 0.0038 0.0026 x3
Pt 0.1651 0.3302 0.6779 x3


(3)
MoPd3Pt12: theoretical X-ray powder pattern (CuKα), based on a structure optimized by DFT (GGA-PBE).
Intensities are scaled so that the largest is 100.

Top 8 peaks for 2θ from 10° to 90°, by intensity:
hkl 1 1 4, 39.4°, rel. 100
hkl 2 0 0, 45.9°, rel. 33
hkl 3 1 4, 80.5°, rel. 26
hkl 2 0 8, 66.7°, rel. 21
hkl 0 0 8, 45.7°, rel. 16
hkl 1 1 12, 80.2°, rel. 13
hkl 2 2 8, 84.8°, rel. 11
hkl 2 2 0, 66.9°, rel. 11

Crystal structure
Lattice parameters (Å, degrees): 3.9571 3.9571 15.8873 90.00 90.00 90.00
Space group P4/mmm (No. 123)
Unique sites:
Mo 0.0000 0.0000 0.0000 x1
Pd 0.0000 0.0000 0.2492 x2
Pd 0.0000 0.0000 0.5000 x1
Pt 0.0000 0.5000 0.1210 x4
Pt 0.0000 0.5000 0.3748 x4
Pt 0.5000 0.5000 0.0000 x1
Pt 0.5000 0.5000 0.2491 x2
Pt 0.5000 0.5000 0.5000 x1


(4)
Mo2Pd5Pt5: theoretical X-ray powder pattern (CuKα), based on a structure optimized by DFT (GGA-PBE).
Intensities are scaled so that the largest is 100.

Top 8 peaks for 2θ from 10° to 90°, by intensity:
hkl 3 1 1, 39.4°, rel. 100
hkl 3 1 -3, 39.6°, rel. 99
hkl 0 0 4, 45.7°, rel. 33
hkl 0 2 0, 46.2°, rel. 32
hkl 6 0 -2, 46.0°, rel. 32
hkl 0 2 4, 67.0°, rel. 31
hkl 3 1 -7, 80.5°, rel. 24
hkl 6 2 -2, 67.2°, rel. 20

Crystal structure
Lattice parameters (Å, degrees): 11.8498 3.9326 8.8472 90.00 116.14 90.00
Space group C2/m (No. 12)
Unique sites:
Mo 0.0852 0.0000 0.2547 x4
Pd 0.0000 0.0000 0.5000 x2
Pd 0.1633 0.0000 0.0016 x4
Pd 0.2451 0.5000 0.2466 x4
Pt 0.0000 0.5000 0.0000 x2
Pt 0.0740 0.5000 0.7494 x4
Pt 0.1681 0.5000 0.4993 x4